No. 1
For Pu6IrRu, a PBE-relaxed structure gives the simulated powder XRD pattern in this record (Cu Kα (λ = 1.5418 Å)).
Peak positions follow from Bragg's law for the DFT cell and can differ from measured ones.

Main lines, by angle (2θ = 10–90°):
2theta	intensity
31.47	45.5
32.16	76.7
35.01	97.8
36.55	47.4
37.39	100.0
39.00	39.2
40.24	49.7
45.44	39.7

Lattice parameters (Å, degrees): 4.8083 5.0867 6.8229 80.86 85.11 70.38
Sites, in units of the cell vectors:
Pu1 0.9999 0.1256 0.2449
Pu2 0.0001 0.8744 0.7551
Pu3 0.2559 0.1492 0.9142
Pu4 0.4503 0.5408 0.2539
Pu5 0.5497 0.4592 0.7461
Pu6 0.7441 0.8508 0.0858
Ir1 0.5000 0.0000 0.5000
Ru1 0.0000 0.5000 0.5000



No. 2
For Hf3Sn2, a PBE-relaxed structure gives the simulated powder XRD pattern in this record (Cu Kα (λ = 1.5418 Å)).
Peak positions follow from Bragg's law for the DFT cell and can differ from measured ones.

Main lines, by angle (2θ = 10–90°):
2theta	intensity
24.28	26.3
32.09	48.5
34.42	56.7
34.70	99.5
36.54	100.0
40.67	37.9
52.76	49.2
60.13	24.0

Lattice parameters (Å, degrees): 8.2919 8.2919 8.2919 140.68 140.68 56.82
Sites, in units of the cell vectors:
Hf1 0.0000 0.0000 0.0000
Hf2 0.0000 0.0000 0.5000
Hf3 0.0000 0.5000 0.0000
Hf4 0.3750 0.6250 0.7500
Hf5 0.5000 0.0000 0.5000
Hf6 0.6250 0.3750 0.2500
Sn1 0.1792 0.4292 0.7500
Sn2 0.4292 0.1792 0.2500
Sn3 0.5708 0.8208 0.7500
Sn4 0.8208 0.5708 0.2500